The following is a theoretical X-ray diffraction stick pattern of Ho12TlRu5. It was derived from a structure optimized by DFT (PBE), using copper Kα.

Most intense lines, 5° ≤ 2θ ≤ 70°, by angle:
| Position (°2θ) | intensity |
| --- | --- |
| 30.42 | 28 |
| 32.17 | 100 |
| 34.12 | 64 |
| 34.62 | 78 |
| 35.33 | 71 |
| 35.73 | 28 |
| 38.88 | 32 |
| 53.53 | 29 |
| 57.94 | 22 |
| 60.63 | 30 |

Crystal structure
```
data_Ho12TlRu5
_cell_length_a 9.2643
_cell_length_b 9.5545
_cell_length_c 10.1583
_cell_angle_alpha 90.00
_cell_angle_beta 90.00
_cell_angle_gamma 90.00
_symmetry_space_group_name_H-M 'I m m m'
_symmetry_Int_Tables_number 71
_symmetry_space_group_name_Hall '-I 2 2'
loop_
_atom_site_label
_atom_site_type_symbol
_atom_site_fract_x
_atom_site_fract_y
_atom_site_fract_z
_atom_site_occupancy
Ho1 Ho 0.0000 0.1921 0.2345 1
Ho2 Ho 0.1867 0.5000 0.1729 1
Ho3 Ho 0.2309 0.3242 0.5000 1
Tl1 Tl 0.0000 0.0000 0.5000 1
Ru1 Ru 0.0000 0.0000 0.0000 1
Ru2 Ru 0.0000 0.3358 0.0000 1
Ru3 Ru 0.0000 0.5000 0.3775 1
```